For SrPN2, a PBE-relaxed structure gives the theoretical XRD peak list in this record (Cu Kα, 1.54184 Å).
Intensities are scaled so that the largest is 100.

Peak list (10 most intense, 2θ from 5° to 70°, in order of falling intensity)
Position (°2θ)  intensity
24.63  100
14.41  88
29.06  82
38.35  54
38.54  54
45.64  38
63.32  17
63.52  17
20.35  14
20.52  14

Cell lengths 8.6559, 8.7280, 4.4703 Å; angles 90.00, 90.00, 90.00 degrees
Fractional positions:
Sr 0.2500 0.2500 0.0000
Sr 0.2500 0.7500 0.5000
Sr 0.7500 0.2500 0.5000
Sr 0.7500 0.7500 0.0000
P 0.0000 0.0000 0.2500
P 0.0000 0.0000 0.7500
P 0.5000 0.5000 0.2500
P 0.5000 0.5000 0.7500
N 0.1008 0.1006 0.5000
N 0.1008 0.8994 0.0000
N 0.3992 0.3994 0.5000
N 0.3992 0.6006 0.0000
N 0.6008 0.3994 0.0000
N 0.6008 0.6006 0.5000
N 0.8992 0.1006 0.0000
N 0.8992 0.8994 0.5000


For Sr7P2N2, a PBE-relaxed structure gives the theoretical XRD peak list in this record (Cu Kα, 1.54184 Å).
Intensities are scaled so that the largest is 100.

Peak list (10 most intense, 2θ from 5° to 70°, in order of falling intensity)
Position (°2θ)  intensity
26.49  100
37.01  77
36.33  39
28.69  38
39.24  31
54.54  23
31.25  22
25.38  22
29.44  20
38.73  18

Cell lengths 6.7491, 6.7491, 7.0188 Å; angles 90.00, 90.00, 94.26 degrees
Fractional positions:
Sr 0.0000 0.0000 0.0000
Sr 0.0000 0.5000 0.2351
Sr 0.0000 0.5000 0.7649
Sr 0.5000 0.0000 0.2351
Sr 0.5000 0.0000 0.7649
Sr 0.5000 0.5000 0.2190
Sr 0.5000 0.5000 0.7810
P 0.2490 0.2490 0.5000
P 0.7510 0.7510 0.5000
N 0.2725 0.7275 0.0000
N 0.7275 0.2725 0.0000